La2Pr2BBr5: computed powder diffractogram (copper Kα), based on a structure optimized by DFT (PBE).
Lines closer than 0.1° are merged.

Structural model:
```
La2Pr2BBr5
1.0
9.3933 -2.0672 0.0000
9.3933 2.0672 0.0000
-1.9965 0.0000 8.3062
La Pr B Br
2 2 1 5
Direct
0.1472 0.1472 0.0821 La
0.8528 0.8528 0.9179 La
0.4988 0.4988 0.2132 Pr
0.5012 0.5012 0.7868 Pr
0.0000 0.0000 0.0000 B
0.0000 0.0000 0.5000 Br
0.3300 0.3300 0.1702 Br
0.3361 0.3361 0.6538 Br
0.6639 0.6639 0.3462 Br
0.6700 0.6700 0.8298 Br
```

Top 6 peaks for 10° ≤ 2θ ≤ 80°, by intensity:
two_theta	I/Imax
30.1	100
29.3	49
42.4	47
42.6	34
10.7	29
29.5	20